The following is a simulated powder XRD pattern of Ca5Cr3ClO12. It was derived from a crystal structure in the Materials Project, relaxed with GGA+U, using a wavelength of 1.5418 Å.

Structure:
abc: 10.2131 10.2131 6.7821
angles: 90.00 90.00 120.00
Space group P6_3/m (No. 176)
Symmetry-distinct sites (fractional):
Ca: 0.0301 0.2665 0.2500 x6
Ca: 0.3333 0.6667 0.5026 x4
Cr: 0.0294 0.6170 0.2500 x6
Cl: 0.0000 0.0000 0.0000 x2
O: 0.0874 0.7378 0.0497 x12
O: 0.1424 0.5337 0.2500 x6
O: 0.1612 0.5030 0.7500 x6

Top 10 peaks for 2θ = 15–90°, sorted by position:
- hkl 1 1 1, 21.79°, I 17
- hkl 0 0 2, 26.28°, I 18
- hkl 1 2 1, 29.80°, I 100
- hkl 3 0 0, 30.32°, I 61
- hkl 1 1 2, 31.67°, I 62
- hkl 3 1 1, 39.05°, I 20
- hkl 2 2 2, 44.41°, I 31
- hkl 1 2 3, 48.62°, I 27
- hkl 2 3 2, 52.56°, I 16
- hkl 0 0 4, 54.09°, I 16


The following is a simulated powder XRD pattern of CaFeClO2. It was derived from a crystal structure in the Materials Project, relaxed with GGA+U, using a wavelength of 1.5418 Å.

Structure:
abc: 3.624 4.142 12.633
angles: 86.54 82.13 88.69
Space group P1 (No. 1)
Symmetry-distinct sites (fractional):
Ca: 0.000 0.000 0.000 x1
Ca: 0.410 0.598 0.359 x1
Fe: 0.509 0.271 0.775 x1
Fe: 0.838 0.059 0.518 x1
Cl: 0.131 0.763 0.787 x1
Cl: 0.478 0.623 0.131 x1
O: 0.349 0.884 0.505 x1
O: 0.536 0.207 0.920 x1
O: 0.762 0.294 0.645 x1
O: 0.904 0.306 0.385 x1

Top 10 peaks for 2θ = 15–90°, sorted by position:
- hkl 0 0 3, 21.34°, I 55
- hkl 0 1 1, 22.26°, I 41
- hkl 0 1 -1, 23.05°, I 33
- hkl 0 1 2, 25.14°, I 67
- hkl 0 1 -2, 26.53°, I 38
- hkl 1 0 2, 26.92°, I 62
- hkl 1 1 0, 32.80°, I 89
- hkl 1 -1 1, 33.62°, I 100
- hkl 0 1 4, 34.99°, I 51
- hkl 0 0 5, 35.94°, I 36